# 1
Structure and simulated X-ray diffraction stick pattern of NbFeGe (DFT lattice parameters and positions (PBE); Cu Kα, 1.54184 Å).

Top 10 peaks for 2θ from 15° to 90°, in order of rising 2θ:
two_theta  intensity
37.3  39
37.4  95
40.7  100
40.9  41
42.1  29
42.3  19
42.4  20
48.1  31
51.4  33
73.1  15

Unit cell a=7.4233 b=7.4233 c=7.4233 alpha=122.79 beta=81.36 gamma=127.49
Fractional positions:
Nb1 0.9996 0.2500 0.2496
Nb2 0.0004 0.7500 0.7504
Nb3 0.4147 0.8821 0.0326
Nb4 0.4169 0.3613 0.5556
Nb5 0.8057 0.8613 0.4444
Nb6 0.8495 0.3821 0.9674
Fe1 0.1603 0.2475 0.8371
Fe2 0.1603 0.8232 0.4128
Fe3 0.4104 0.3232 0.1629
Fe4 0.4104 0.7475 0.5872
Fe5 0.6589 0.1588 0.5000
Fe6 0.6589 0.6589 0.0000
Ge1 0.0808 0.4090 0.6630
Ge2 0.0808 0.9178 0.1717
Ge3 0.3766 0.6544 0.2222
Ge4 0.4323 0.1544 0.7778
Ge5 0.7460 0.4178 0.3370
Ge6 0.7460 0.9090 0.8283

# 2
Structure and simulated X-ray diffraction stick pattern of LiCuP2O6 (DFT lattice parameters and positions (PBE); Cu Kα, 1.54184 Å).

Top 10 peaks for 2θ from 15° to 90°, in order of rising 2θ:
two_theta  intensity
16.3  33
20.3  14
27.0  100
28.7  50
31.0  30
36.2  15
36.9  14
42.6  15
46.7  17
64.5  16

Unit cell a=7.5789 b=7.5789 c=4.7851 alpha=105.50 beta=105.50 gamma=91.76
Fractional positions:
Li1 0.2283 0.7717 0.7500
Li2 0.7717 0.2283 0.2500
Cu1 0.0989 0.9011 0.2500
Cu2 0.9011 0.0989 0.7500
P1 0.2008 0.3707 0.2630
P2 0.3707 0.2008 0.7630
P3 0.6293 0.7992 0.2370
P4 0.7992 0.6293 0.7370
O1 0.0249 0.2367 0.1502
O2 0.1869 0.5673 0.4011
O3 0.2367 0.0249 0.6502
O4 0.2921 0.3558 0.9913
O5 0.3558 0.2921 0.4913
O6 0.4327 0.8131 0.0989
O7 0.5673 0.1869 0.9011
O8 0.6442 0.7079 0.5087
O9 0.7079 0.6442 0.0087
O10 0.7633 0.9751 0.3498
O11 0.8131 0.4327 0.5989
O12 0.9751 0.7633 0.8498

# 3
Structure and simulated X-ray diffraction stick pattern of TeS7Cl2 (DFT lattice parameters and positions (PBE); Cu Kα, 1.54184 Å).

Top 10 peaks for 2θ from 15° to 90°, in order of rising 2θ:
two_theta  intensity
15.3  75
17.0  36
17.7  48
19.3  96
23.1  100
25.4  52
28.6  35
33.0  39
35.2  40
39.2  31

Unit cell a=10.4495 b=7.6270 c=17.2361 alpha=90.00 beta=90.00 gamma=90.00
Fractional positions:
Te1 0.1406 0.2500 0.0714
Te2 0.3594 0.7500 0.5714
Te3 0.6406 0.2500 0.4286
Te4 0.8594 0.7500 0.9286
S1 0.0638 0.6138 0.3089
S2 0.0638 0.8862 0.3089
S3 0.1955 0.5112 0.5279
S4 0.1958 0.7500 0.2417
S5 0.1955 0.9888 0.5279
S6 0.2429 0.1000 0.4298
S7 0.2429 0.4000 0.4298
S8 0.2571 0.6000 0.9298
S9 0.2571 0.9000 0.9298
S10 0.3045 0.0112 0.0279
S11 0.3042 0.2500 0.7417
S12 0.3045 0.4888 0.0279
S13 0.4362 0.1138 0.8089
S14 0.4362 0.3862 0.8089
S15 0.5638 0.6138 0.1911
S16 0.5638 0.8862 0.1911
S17 0.6955 0.5112 0.9721
S18 0.6958 0.7500 0.2583
S19 0.6955 0.9888 0.9721
S20 0.7429 0.1000 0.0702
S21 0.7429 0.4000 0.0702
S22 0.7571 0.6000 0.5702
S23 0.7571 0.9000 0.5702
S24 0.8045 0.0112 0.4721
S25 0.8042 0.2500 0.7583
S26 0.8045 0.4888 0.4721
S27 0.9362 0.1138 0.6911
S28 0.9362 0.3862 0.6911
Cl1 0.0474 0.2500 0.9410
Cl2 0.1984 0.7500 0.6826
Cl3 0.3016 0.2500 0.1826
Cl4 0.4526 0.7500 0.4410
Cl5 0.5474 0.2500 0.5590
Cl6 0.6984 0.7500 0.8174
Cl7 0.8016 0.2500 0.3174
Cl8 0.9526 0.7500 0.0590

- Which formula does entry 2 have?
  LiCuP2O6